The following is a theoretical powder XRD pattern of K2PrCuBr6. It was derived from a cell relaxed with GGA-PBE, using Cu Kα X-rays.

Main lines, low angle first (15 to 90 degrees two-theta):
h k l	2θ (°)	d [Å]	intensity
2 0 0	15.90	5.574	78
2 2 2	27.72	3.218	42
4 0 0	32.11	2.787	100
4 2 0	36.03	2.493	41
4 4 0	46.05	1.971	70
6 0 0	49.03	1.858	21
6 2 2	54.60	1.681	16
4 4 4	57.25	1.609	24
8 4 0	76.41	1.246	29
8 4 4	85.30	1.138	22

abc: 11.149 11.149 11.149
angles: 90.00 90.00 90.00
Space group Fm-3m (No. 225)
One atom of each set of equivalent atoms:
K1 0.250 0.250 0.250 [8 per cell]
Pr1 0.000 0.000 0.000 [4 per cell]
Cu1 0.000 0.000 0.500 [4 per cell]
Br1 0.000 0.000 0.260 [24 per cell]

---

The following is a theoretical powder XRD pattern of K2CuSbBr6. It was derived from a cell relaxed with GGA-PBE, using Cu Kα X-rays.

Main lines, low angle first (15 to 90 degrees two-theta):
h k l	2θ (°)	d [Å]	intensity
2 0 0	16.21	5.467	72
2 2 2	28.27	3.156	50
4 0 0	32.76	2.733	100
4 2 0	36.76	2.445	37
4 4 0	47.01	1.933	69
6 0 0	50.05	1.822	19
6 2 2	55.77	1.648	20
4 4 4	58.48	1.578	23
8 4 0	78.20	1.222	29
8 4 4	87.39	1.116	22

abc: 10.934 10.934 10.934
angles: 90.00 90.00 90.00
Space group Fm-3m (No. 225)
One atom of each set of equivalent atoms:
K1 0.250 0.250 0.250 [8 per cell]
Cu1 0.000 0.000 0.000 [4 per cell]
Sb1 0.000 0.000 0.500 [4 per cell]
Br1 0.000 0.000 0.242 [24 per cell]

---

The following is a theoretical powder XRD pattern of K2YCuBr6. It was derived from a cell relaxed with GGA-PBE, using Cu Kα X-rays.

Main lines, low angle first (15 to 90 degrees two-theta):
h k l	2θ (°)	d [Å]	intensity
2 0 0	16.21	5.469	61
2 2 2	28.26	3.157	63
4 0 0	32.75	2.734	100
4 2 0	36.75	2.446	32
4 4 0	46.99	1.934	70
6 0 0	50.03	1.823	16
6 2 2	55.75	1.649	26
4 4 4	58.46	1.579	24
8 4 0	78.16	1.223	30
8 4 4	87.35	1.116	23

abc: 10.938 10.938 10.938
angles: 90.00 90.00 90.00
Space group Fm-3m (No. 225)
One atom of each set of equivalent atoms:
K1 0.250 0.250 0.250 [8 per cell]
Y1 0.000 0.000 0.000 [4 per cell]
Cu1 0.000 0.000 0.500 [4 per cell]
Br1 0.000 0.000 0.255 [24 per cell]